[1]
The following is a computed powder XRD pattern of BaCdAsO4. It was derived from a DFT-relaxed cell (PBE, Alexandria), using λ = 1.5418 Å (Cu Kα).
Neutral-atom scattering factors, no anomalous dispersion.

Cell and atoms:
```
data_BaCdAsO4
_symmetry_space_group_name_H-M 'F -4 3 m'
_symmetry_Int_Tables_number 216
_symmetry_space_group_name_Hall 'F -4 2 3'
_cell_length_a 8.9912
_cell_length_b 8.9912
_cell_length_c 8.9912
_cell_angle_alpha 90.00
_cell_angle_beta 90.00
_cell_angle_gamma 90.00
loop_
_atom_site_label
_atom_site_type_symbol
_atom_site_fract_x
_atom_site_fract_y
_atom_site_fract_z
Ba1 Ba 0.0000 0.0000 0.0000
Cd1 Cd 0.2500 0.2500 0.7500
As1 As 0.0000 0.0000 0.5000
O1 O 0.1114 0.1114 0.6114
```

Top 10 peaks for 2θ from 10° to 80°, low angle first:
| h k l | two_theta | I_rel |
| --- | --- | --- |
| 1 1 1 | 17.08 | 39 |
| 2 0 0 | 19.75 | 13 |
| 2 2 0 | 28.07 | 100 |
| 3 1 1 | 33.04 | 17 |
| 4 0 0 | 40.12 | 12 |
| 3 3 1 | 43.89 | 12 |
| 4 2 2 | 49.68 | 40 |
| 4 4 0 | 58.03 | 16 |
| 6 2 0 | 65.68 | 17 |
| 6 4 2 | 79.83 | 20 |

***

[2]
The following is a computed powder XRD pattern of Ba2Cd2AsP2. It was derived from a DFT-relaxed cell (PBE, Alexandria), using λ = 1.5418 Å (Cu Kα).
Neutral-atom scattering factors, no anomalous dispersion.

Cell and atoms:
```
data_Ba2Cd2AsP2
_symmetry_space_group_name_H-M 'C 1 2/m 1'
_symmetry_Int_Tables_number 12
_symmetry_space_group_name_Hall '-C 2y'
_cell_length_a 13.8516
_cell_length_b 4.3606
_cell_length_c 8.1429
_cell_angle_alpha 90.00
_cell_angle_beta 123.57
_cell_angle_gamma 90.00
loop_
_atom_site_label
_atom_site_type_symbol
_atom_site_fract_x
_atom_site_fract_y
_atom_site_fract_z
Ba1 Ba 0.0636 0.0000 0.3363
Cd1 Cd 0.2167 0.5000 0.0962
As1 As 0.0000 0.5000 0.0000
P1 P 0.1719 0.5000 0.7074
```

Top 10 peaks for 2θ from 10° to 80°, low angle first:
| h k l | two_theta | I_rel |
| --- | --- | --- |
| 1 1 -1 | 23.14 | 38 |
| 2 0 1 | 25.19 | 38 |
| 4 0 -1 | 26.03 | 47 |
| 1 1 1 | 27.63 | 31 |
| 3 1 -1 | 28.15 | 37 |
| 1 1 -2 | 30.81 | 100 |
| 2 0 -3 | 33.63 | 27 |
| 5 1 -2 | 38.83 | 26 |
| 0 2 0 | 41.41 | 33 |
| 4 0 2 | 51.68 | 29 |

***

[3]
The following is a computed powder XRD pattern of Ba2PaCd2As4. It was derived from a DFT-relaxed cell (PBE, Alexandria), using λ = 1.5418 Å (Cu Kα).
Neutral-atom scattering factors, no anomalous dispersion.

Cell and atoms:
```
data_Ba2PaCd2As4
_symmetry_space_group_name_H-M 'C 1 2/m 1'
_symmetry_Int_Tables_number 12
_symmetry_space_group_name_Hall '-C 2y'
_cell_length_a 15.8478
_cell_length_b 4.3571
_cell_length_c 7.8825
_cell_angle_alpha 90.00
_cell_angle_beta 109.85
_cell_angle_gamma 90.00
loop_
_atom_site_label
_atom_site_type_symbol
_atom_site_fract_x
_atom_site_fract_y
_atom_site_fract_z
Ba1 Ba 0.1303 0.0000 0.0730
Pa1 Pa 0.0000 0.0000 0.5000
Cd1 Cd 0.1748 0.5000 0.4905
As1 As 0.0070 0.5000 0.2529
As2 As 0.1992 0.0000 0.7075
```

Top 10 peaks for 2θ from 10° to 80°, low angle first:
| h k l | two_theta | I_rel |
| --- | --- | --- |
| 0 0 1 | 11.93 | 40 |
| 2 0 -2 | 22.83 | 16 |
| 3 1 -1 | 27.19 | 32 |
| 4 0 1 | 30.29 | 20 |
| 1 1 -2 | 30.67 | 40 |
| 3 1 1 | 32.21 | 100 |
| 6 0 -1 | 33.94 | 17 |
| 6 0 0 | 36.16 | 23 |
| 0 2 0 | 41.45 | 26 |
| 3 1 3 | 51.03 | 14 |

***

[4]
The following is a computed powder XRD pattern of Ba2CdAsPd6. It was derived from a DFT-relaxed cell (PBE, Alexandria), using λ = 1.5418 Å (Cu Kα).
Neutral-atom scattering factors, no anomalous dispersion.

Cell and atoms:
```
data_Ba2CdAsPd6
_symmetry_space_group_name_H-M 'C 1 2/m 1'
_symmetry_Int_Tables_number 12
_symmetry_space_group_name_Hall '-C 2y'
_cell_length_a 12.2179
_cell_length_b 5.8053
_cell_length_c 8.5799
_cell_angle_alpha 90.00
_cell_angle_beta 129.17
_cell_angle_gamma 90.00
loop_
_atom_site_label
_atom_site_type_symbol
_atom_site_fract_x
_atom_site_fract_y
_atom_site_fract_z
Ba1 Ba 0.2415 0.0000 0.2027
Cd1 Cd 0.0000 0.5000 0.0000
As1 As 0.0000 0.0000 0.5000
Pd1 Pd 0.0245 0.2601 0.2982
Pd2 Pd 0.2494 0.0000 0.6125
```

Top 10 peaks for 2θ from 10° to 80°, low angle first:
| h k l | two_theta | I_rel |
| --- | --- | --- |
| 0 0 1 | 13.31 | 33 |
| 1 1 1 | 25.74 | 34 |
| 1 1 -2 | 26.91 | 43 |
| 3 1 -1 | 27.11 | 36 |
| 3 1 -2 | 28.23 | 37 |
| 2 2 0 | 36.30 | 82 |
| 2 2 -2 | 37.46 | 100 |
| 4 0 0 | 38.00 | 77 |
| 1 1 -3 | 38.63 | 46 |
| 5 1 -3 | 41.48 | 41 |

***

[5]
The following is a computed powder XRD pattern of Ba5CeAs4. It was derived from a DFT-relaxed cell (PBE, Alexandria), using λ = 1.5418 Å (Cu Kα).
Neutral-atom scattering factors, no anomalous dispersion.

Cell and atoms:
```
data_Ba5CeAs4
_symmetry_space_group_name_H-M 'C 1 2/m 1'
_symmetry_Int_Tables_number 12
_symmetry_space_group_name_Hall '-C 2y'
_cell_length_a 20.2476
_cell_length_b 4.6328
_cell_length_c 9.1843
_cell_angle_alpha 90.00
_cell_angle_beta 103.09
_cell_angle_gamma 90.00
loop_
_atom_site_label
_atom_site_type_symbol
_atom_site_fract_x
_atom_site_fract_y
_atom_site_fract_z
Ba1 Ba 0.0000 0.0000 0.0000
Ba2 Ba 0.1581 0.5000 0.8201
Ba3 Ba 0.1678 0.5000 0.3505
Ce1 Ce 0.0000 0.0000 0.5000
As1 As 0.0024 0.5000 0.2731
As2 As 0.1573 0.0000 0.5857
```

Top 10 peaks for 2θ from 10° to 80°, low angle first:
| h k l | two_theta | I_rel |
| --- | --- | --- |
| 3 1 0 | 23.49 | 29 |
| 4 0 -2 | 23.63 | 28 |
| 6 0 0 | 27.13 | 50 |
| 1 1 -2 | 27.35 | 100 |
| 0 2 0 | 38.90 | 94 |
| 2 0 -4 | 39.24 | 18 |
| 6 2 0 | 48.05 | 21 |
| 8 0 -4 | 48.36 | 18 |
| 8 2 -4 | 63.71 | 16 |
| 7 3 -2 | 70.43 | 18 |

***

[6]
The following is a computed powder XRD pattern of BaCe2AsO8. It was derived from a DFT-relaxed cell (PBE, Alexandria), using λ = 1.5418 Å (Cu Kα).
Neutral-atom scattering factors, no anomalous dispersion.

Cell and atoms:
```
data_BaCe2AsO8
_symmetry_space_group_name_H-M 'P -1'
_symmetry_Int_Tables_number 2
_symmetry_space_group_name_Hall '-P 1'
_cell_length_a 4.6722
_cell_length_b 5.3274
_cell_length_c 7.0878
_cell_angle_alpha 88.99
_cell_angle_beta 71.28
_cell_angle_gamma 81.26
loop_
_atom_site_label
_atom_site_type_symbol
_atom_site_fract_x
_atom_site_fract_y
_atom_site_fract_z
Ba1 Ba 0.0000 0.0000 0.0000
Ce1 Ce 0.3416 0.5449 0.2969
As1 As 0.5000 0.0000 0.5000
O1 O 0.1660 0.2712 0.5945
O2 O 0.2554 0.4958 0.0040
O3 O 0.2833 0.7469 0.6171
O4 O 0.4075 0.9575 0.2649
```

Top 10 peaks for 2θ from 10° to 80°, low angle first:
| h k l | two_theta | I_rel |
| --- | --- | --- |
| 1 1 0 | 24.38 | 40 |
| 1 1 1 | 24.73 | 65 |
| 1 0 -1 | 27.71 | 100 |
| 1 0 2 | 27.82 | 39 |
| 1 -1 1 | 28.25 | 84 |
| 0 1 -2 | 31.14 | 60 |
| 0 2 0 | 34.07 | 56 |
| 1 2 -1 | 41.41 | 38 |
| 1 2 2 | 42.67 | 42 |
| -1 2 1 | 47.40 | 57 |

***

What did the fifth record say?
The following is a computed powder XRD pattern of Ba5CeAs4. It was derived from a DFT-relaxed cell (PBE, Alexandria), using λ = 1.5418 Å (Cu Kα).
Neutral-atom scattering factors, no anomalous dispersion.

Cell and atoms:
```
data_Ba5CeAs4
_symmetry_space_group_name_H-M 'C 1 2/m 1'
_symmetry_Int_Tables_number 12
_symmetry_space_group_name_Hall '-C 2y'
_cell_length_a 20.2476
_cell_length_b 4.6328
_cell_length_c 9.1843
_cell_angle_alpha 90.00
_cell_angle_beta 103.09
_cell_angle_gamma 90.00
loop_
_atom_site_label
_atom_site_type_symbol
_atom_site_fract_x
_atom_site_fract_y
_atom_site_fract_z
Ba1 Ba 0.0000 0.0000 0.0000
Ba2 Ba 0.1581 0.5000 0.8201
Ba3 Ba 0.1678 0.5000 0.3505
Ce1 Ce 0.0000 0.0000 0.5000
As1 As 0.0024 0.5000 0.2731
As2 As 0.1573 0.0000 0.5857
```

Top 10 peaks for 2θ from 10° to 80°, low angle first:
| h k l | two_theta | I_rel |
| --- | --- | --- |
| 3 1 0 | 23.49 | 29 |
| 4 0 -2 | 23.63 | 28 |
| 6 0 0 | 27.13 | 50 |
| 1 1 -2 | 27.35 | 100 |
| 0 2 0 | 38.90 | 94 |
| 2 0 -4 | 39.24 | 18 |
| 6 2 0 | 48.05 | 21 |
| 8 0 -4 | 48.36 | 18 |
| 8 2 -4 | 63.71 | 16 |
| 7 3 -2 | 70.43 | 18 |